Entry 1:
For NaO2, a DFT-relaxed cell (PBE, the Materials Project) gives the theoretical X-ray diffraction stick pattern in this record (CuKα).
Lines closer than 0.1° are merged.

Main lines, in order of rising 2θ (2θ = 15–90°):
- 2θ = 32.4°, I 100
- 2θ = 36.4°, I 8
- 2θ = 40.0°, I 10
- 2θ = 46.5°, I 44
- 2θ = 55.2°, I 13
- 2θ = 57.8°, I 11
- 2θ = 60.4°, I 6
- 2θ = 63.0°, I 9
- 2θ = 75.0°, I 7
- 2θ = 77.3°, I 5

```
NaO2
1.0
5.523 0.000 0.000
0.000 5.523 0.000
0.000 0.000 5.523
Na O
4 8
Cartesian
0.000 0.000 0.000
0.000 2.761 2.761
2.761 0.000 2.761
2.761 2.761 0.000
0.391 3.152 5.132
0.391 5.132 2.371
2.371 0.391 5.132
2.371 2.371 2.371
3.152 3.152 3.152
3.152 5.132 0.391
5.132 0.391 3.152
5.132 2.371 0.391
```

Entry 2:
For NaO2, a DFT-relaxed cell (PBE, the Materials Project) gives the theoretical X-ray diffraction stick pattern in this record (CuKα).
Lines closer than 0.1° are merged.

Main lines, in order of rising 2θ (2θ = 15–90°):
- 2θ = 29.2°, I 100
- 2θ = 35.3°, I 11
- 2θ = 39.4°, I 35
- 2θ = 41.7°, I 16
- 2θ = 46.9°, I 9
- 2θ = 49.7°, I 37
- 2θ = 51.2°, I 16
- 2θ = 58.7°, I 10
- 2θ = 64.2°, I 6
- 2θ = 68.1°, I 10

```
NaO2
1.0
4.329 0.000 0.000
0.000 4.329 0.000
0.000 0.000 4.579
Na O
2 4
Cartesian
0.000 0.000 0.000
2.164 2.164 2.289
0.479 0.479 2.289
1.685 2.643 0.000
2.643 1.685 0.000
3.850 3.850 2.289
```

Entry 3:
For NaO5, a DFT-relaxed cell (PBE, the Materials Project) gives the theoretical X-ray diffraction stick pattern in this record (CuKα).
Lines closer than 0.1° are merged.

Main lines, in order of rising 2θ (2θ = 15–90°):
- 2θ = 26.7°, I 62
- 2θ = 27.2°, I 52
- 2θ = 28.4°, I 100
- 2θ = 29.2°, I 80
- 2θ = 33.2°, I 40
- 2θ = 34.1°, I 88
- 2θ = 36.0°, I 77
- 2θ = 40.7°, I 52
- 2θ = 41.0°, I 71
- 2θ = 44.0°, I 50

```
NaO5
1.0
7.057 -1.604 0.000
7.057 1.604 0.000
-6.607 0.000 7.839
Na O
2 10
Cartesian
-0.395 0.000 1.901
7.901 0.000 5.938
1.396 0.000 0.284
0.040 0.000 4.213
3.169 0.000 2.466
-0.901 0.000 7.538
4.400 0.000 2.384
3.106 0.000 5.455
8.407 0.000 0.302
4.337 0.000 5.373
7.466 0.000 3.626
6.110 0.000 7.555
```

Entry 4:
For NaOsO3, a DFT-relaxed cell (PBE, the Materials Project) gives the theoretical X-ray diffraction stick pattern in this record (CuKα).
Lines closer than 0.1° are merged.

Main lines, in order of rising 2θ (2θ = 15–90°):
- 2θ = 23.2°, I 100
- 2θ = 33.0°, I 49
- 2θ = 33.2°, I 52
- 2θ = 40.8°, I 12
- 2θ = 47.5°, I 29
- 2θ = 53.4°, I 20
- 2θ = 53.7°, I 22
- 2θ = 58.9°, I 12
- 2θ = 59.1°, I 21
- 2θ = 59.4°, I 10

```
NaOsO3
1.0
2.714 1.567 4.396
-2.714 1.567 4.396
0.000 -3.134 4.396
Na Os O
2 2 6
Cartesian
0.000 0.000 3.297
0.000 0.000 9.890
0.000 0.000 0.000
0.000 0.000 6.594
-1.561 0.430 5.495
-1.153 -1.137 7.692
0.408 -1.567 5.495
-0.408 1.567 7.692
1.153 1.137 5.495
1.561 -0.430 7.692
```

Entry 5:
For NaOsO3, a DFT-relaxed cell (PBE, the Materials Project) gives the theoretical X-ray diffraction stick pattern in this record (CuKα).
Lines closer than 0.1° are merged.

Main lines, in order of rising 2θ (2θ = 15–90°):
- 2θ = 23.2°, I 100
- 2θ = 33.0°, I 17
- 2θ = 33.1°, I 67
- 2θ = 33.2°, I 16
- 2θ = 47.5°, I 28
- 2θ = 53.6°, I 29
- 2θ = 59.0°, I 21
- 2θ = 59.3°, I 23
- 2θ = 69.5°, I 11
- 2θ = 79.2°, I 11

```
NaOsO3
1.0
5.431 0.000 0.000
0.000 7.653 0.000
0.000 0.000 5.391
Na Os O
4 4 12
Cartesian
0.177 1.913 0.036
2.538 5.740 2.732
2.893 1.913 2.660
5.254 5.740 5.356
0.000 0.000 2.696
0.000 3.827 2.696
2.716 0.000 0.000
2.716 3.827 0.000
0.060 5.740 2.257
1.142 4.140 4.264
1.142 7.339 4.264
1.573 0.314 1.568
1.573 3.513 1.568
2.656 1.913 4.953
2.775 5.740 0.439
3.858 4.140 3.823
3.858 7.339 3.823
4.289 0.314 1.128
4.289 3.513 1.128
5.371 1.913 3.134
```

Entry 6:
For Na3OsO5, a DFT-relaxed cell (PBE, the Materials Project) gives the theoretical X-ray diffraction stick pattern in this record (CuKα).
Lines closer than 0.1° are merged.

Main lines, in order of rising 2θ (2θ = 15–90°):
- 2θ = 19.4°, I 100
- 2θ = 19.5°, I 32
- 2θ = 22.4°, I 71
- 2θ = 31.8°, I 44
- 2θ = 32.1°, I 47
- 2θ = 37.5°, I 13
- 2θ = 37.6°, I 21
- 2θ = 37.8°, I 19
- 2θ = 45.8°, I 22
- 2θ = 56.8°, I 17

```
Na3OsO5
1.0
5.624 0.000 0.000
-2.812 4.871 0.000
0.000 0.000 13.626
Na Os O
9 3 15
Cartesian
-0.778 1.347 2.271
-0.589 1.856 5.700
1.556 0.000 11.355
-0.910 4.453 1.158
1.902 0.418 7.926
1.499 3.433 10.242
2.223 3.015 3.384
2.034 3.524 6.813
4.311 1.438 12.468
-1.081 1.872 9.084
2.162 0.000 4.542
1.731 2.999 0.000
-1.974 3.419 9.084
-1.484 4.093 5.979
0.009 1.539 10.521
-0.865 3.218 3.658
0.838 1.452 0.000
1.328 0.777 3.105
0.458 2.513 8.200
0.407 4.011 12.742
1.947 1.653 5.427
3.219 0.860 9.969
1.475 4.109 1.437
3.948 0.000 4.542
3.270 2.358 0.884
4.287 0.761 7.647
2.821 3.332 12.189
```

Entry 7:
For Na2OsO8, a DFT-relaxed cell (PBE, the Materials Project) gives the theoretical X-ray diffraction stick pattern in this record (CuKα).
Lines closer than 0.1° are merged.

Main lines, in order of rising 2θ (2θ = 15–90°):
- 2θ = 16.5°, I 100
- 2θ = 17.5°, I 35
- 2θ = 17.9°, I 85
- 2θ = 20.3°, I 27
- 2θ = 21.7°, I 24
- 2θ = 26.9°, I 42
- 2θ = 28.0°, I 35
- 2θ = 28.1°, I 19
- 2θ = 30.8°, I 20
- 2θ = 35.0°, I 16

```
Na2OsO8
1.0
5.672 0.000 0.000
0.000 10.155 0.000
-0.424 0.000 6.344
Na Os O
4 2 16
Cartesian
1.015 0.000 1.193
1.058 5.294 1.549
4.190 0.216 4.795
4.233 5.078 5.151
1.171 2.791 5.040
4.077 7.868 1.304
0.183 3.571 6.314
0.428 2.873 3.449
0.521 5.378 3.827
0.555 1.148 5.508
1.894 8.923 4.146
2.006 4.494 4.813
2.093 7.772 4.556
2.400 7.267 1.261
2.848 2.190 5.083
3.155 2.695 1.789
3.242 9.571 1.531
3.354 3.845 2.198
4.693 6.226 0.836
4.727 0.300 2.517
4.820 7.951 2.895
5.065 8.649 0.030
```

Entry 8:
For NaOs2O6, a DFT-relaxed cell (PBE, the Materials Project) gives the theoretical X-ray diffraction stick pattern in this record (CuKα).
Lines closer than 0.1° are merged.

Main lines, in order of rising 2θ (2θ = 15–90°):
- 2θ = 15.1°, I 100
- 2θ = 29.1°, I 71
- 2θ = 30.4°, I 67
- 2θ = 35.2°, I 19
- 2θ = 38.5°, I 14
- 2θ = 46.3°, I 24
- 2θ = 50.7°, I 33
- 2θ = 53.2°, I 20
- 2θ = 60.2°, I 30
- 2θ = 71.0°, I 17

```
NaOs2O6
1.0
0.000 5.097 5.097
5.097 0.000 5.097
5.097 5.097 0.000
Na Os O
2 4 12
Cartesian
1.274 1.274 1.274
8.919 8.919 8.919
5.097 2.548 2.548
2.548 5.097 2.548
2.548 2.548 5.097
5.097 5.097 5.097
3.823 3.823 1.870
3.823 1.870 3.823
5.775 3.823 3.823
6.371 6.371 4.418
6.371 4.418 6.371
8.324 6.371 6.371
1.870 3.823 3.823
3.823 5.775 3.823
3.823 3.823 5.775
4.418 6.371 6.371
6.371 8.324 6.371
6.371 6.371 8.324
```

Entry 9:
For NaOsO3, a DFT-relaxed cell (PBE, the Materials Project) gives the theoretical X-ray diffraction stick pattern in this record (CuKα).
Lines closer than 0.1° are merged.

Main lines, in order of rising 2θ (2θ = 15–90°):
- 2θ = 22.9°, I 100
- 2θ = 32.7°, I 96
- 2θ = 40.3°, I 13
- 2θ = 46.9°, I 31
- 2θ = 52.8°, I 42
- 2θ = 58.3°, I 38
- 2θ = 68.5°, I 19
- 2θ = 73.3°, I 20
- 2θ = 77.9°, I 17
- 2θ = 82.5°, I 7

```
NaOsO3
1.0
3.877 0.000 0.000
0.000 3.877 0.000
0.000 0.000 3.877
Na Os O
1 1 3
Cartesian
0.000 0.000 0.000
1.938 1.938 1.938
0.000 1.938 1.938
1.938 0.000 1.938
1.938 1.938 0.000
```

Entry 10:
For NaPr2OsO6, a DFT-relaxed cell (PBE, the Materials Project) gives the theoretical X-ray diffraction stick pattern in this record (CuKα).
Lines closer than 0.1° are merged.

Main lines, in order of rising 2θ (2θ = 15–90°):
- 2θ = 18.4°, I 61
- 2θ = 19.4°, I 34
- 2θ = 29.7°, I 39
- 2θ = 30.9°, I 100
- 2θ = 31.3°, I 98
- 2θ = 32.0°, I 47
- 2θ = 44.2°, I 34
- 2θ = 44.9°, I 26
- 2θ = 56.1°, I 26
- 2θ = 56.8°, I 24

```
NaPr2OsO6
1.0
5.602 0.000 0.000
0.000 6.012 0.000
-5.472 0.000 8.074
Na Pr Os O
2 4 2 12
Cartesian
0.000 0.000 0.000
-2.736 3.006 4.037
-2.818 0.423 6.028
-0.082 2.583 1.991
0.212 3.430 6.083
2.948 5.589 2.046
0.065 0.000 4.037
2.801 3.006 0.000
-1.578 1.042 3.622
-4.314 1.964 7.659
-0.864 4.324 3.487
-3.600 4.694 7.524
0.699 0.298 2.176
-2.037 2.708 6.212
2.168 3.304 1.861
-0.568 5.714 5.898
3.730 1.318 0.550
0.994 1.688 4.587
4.444 4.048 0.415
1.708 4.970 4.452
```

Entry 11:
For NaSr2OsO6, a DFT-relaxed cell (PBE, the Materials Project) gives the theoretical X-ray diffraction stick pattern in this record (CuKα).
Lines closer than 0.1° are merged.

Main lines, in order of rising 2θ (2θ = 15–90°):
- 2θ = 18.8°, I 53
- 2θ = 30.9°, I 100
- 2θ = 36.4°, I 26
- 2θ = 44.3°, I 33
- 2θ = 55.0°, I 40
- 2θ = 58.6°, I 11
- 2θ = 64.4°, I 20
- 2θ = 67.7°, I 10
- 2θ = 73.1°, I 18
- 2θ = 89.6°, I 22

```
NaSr2OsO6
1.0
0.000 4.093 4.093
4.093 0.000 4.093
4.093 4.093 0.000
Na Sr Os O
1 2 1 6
Cartesian
0.000 0.000 0.000
2.046 2.046 2.046
6.139 6.139 6.139
4.093 4.093 4.093
4.093 4.093 2.196
4.093 2.196 4.093
5.990 4.093 4.093
2.196 4.093 4.093
4.093 5.990 4.093
4.093 4.093 5.990
```

Entry 12:
For Na8PO3, a DFT-relaxed cell (PBE, the Materials Project) gives the theoretical X-ray diffraction stick pattern in this record (CuKα).
Lines closer than 0.1° are merged.

Main lines, in order of rising 2θ (2θ = 15–90°):
- 2θ = 26.0°, I 27
- 2θ = 30.1°, I 24
- 2θ = 33.8°, I 5
- 2θ = 43.1°, I 100
- 2θ = 51.0°, I 9
- 2θ = 53.5°, I 6
- 2θ = 62.6°, I 13
- 2θ = 64.8°, I 3
- 2θ = 71.0°, I 6
- 2θ = 79.0°, I 23

```
Na8PO3
1.0
5.936 0.000 0.000
0.000 5.936 0.000
0.000 0.000 5.936
Na P O
8 1 3
Cartesian
1.403 1.403 1.403
1.403 1.403 4.533
1.403 4.533 1.403
1.403 4.533 4.533
4.533 1.403 1.403
4.533 1.403 4.533
4.533 4.533 1.403
4.533 4.533 4.533
2.968 2.968 2.968
0.000 0.000 2.968
0.000 2.968 0.000
2.968 0.000 0.000
```